[1]
Starting from the GGA-PBE geometry in the Materials Project, the X-ray powder pattern of Ho2MgCuSi4O12 was calculated for CuKα.
No peak broadening, texture or thermal motion is included.

Principal peaks in the range 2θ = 15–90°, by angle:
2θ/deg, I_rel, (hkl)
17.19, 568, 1 0 0
21.11, 504, 1 0 -1
21.92, 484, 1 0 1
27.71, 283, 0 2 0
28.00, 1000, 1 2 1
28.24, 326, 0 2 2
29.69, 369, -1 1 2
30.63, 279, 1 0 -2
31.78, 355, 1 0 2
35.00, 434, 1 -2 0

Structure:
Cell lengths 5.224, 7.285, 7.712 Å; angles 63.44, 88.06, 81.22 degrees
Space group P1 (No. 1)
Symmetry-distinct sites (fractional):
Ho  0.000  0.000  0.000
Ho  0.033  0.573  0.835
Mg  0.942  0.010  0.441
Cu  0.202  0.712  0.406
Si  0.431  0.221  0.187
Si  0.436  0.984  0.640
Si  0.595  0.608  0.179
Si  0.604  0.373  0.638
O  0.175  0.898  0.750
O  0.197  0.229  0.051
O  0.308  0.137  0.411
O  0.357  0.524  0.659
O  0.370  0.798  0.156
O  0.456  0.472  0.094
O  0.531  0.134  0.727
O  0.682  0.439  0.409
O  0.697  0.836  0.636
O  0.717  0.093  0.202
O  0.849  0.687  0.057
O  0.855  0.344  0.771

[2]
Starting from the GGA-PBE geometry in the Materials Project, the X-ray powder pattern of CaMg2Bi2 was calculated for CuKα.
No peak broadening, texture or thermal motion is included.

Principal peaks in the range 2θ = 15–90°, by angle:
2θ/deg, I_rel, (hkl)
21.37, 225, 1 0 0
22.98, 240, 0 0 2
24.30, 1000, 1 0 1
31.58, 345, 1 0 2
37.46, 401, 1 1 0
41.17, 358, 0 1 3
44.40, 270, 1 1 2
45.15, 202, 0 2 1
60.06, 177, 2 1 1
70.10, 154, 1 2 3

Structure:
Cell lengths 4.8022, 4.8022, 7.7402 Å; angles 90.00, 90.00, 120.00 degrees
Space group P-3m1 (No. 164)
Symmetry-distinct sites (fractional):
Ca  0.0000  0.0000  0.0000
Mg  0.3333  0.6667  0.3715
Bi  0.3333  0.6667  0.7608

[3]
Starting from the GGA-PBE geometry in the Materials Project, the X-ray powder pattern of NdHfO14 was calculated for CuKα.
No peak broadening, texture or thermal motion is included.

Principal peaks in the range 2θ = 15–90°, by angle:
2θ/deg, I_rel, (hkl)
23.35, 1000, 2 2 0
33.25, 148, 4 0 0
41.03, 739, 4 2 2
47.74, 171, 4 4 0
53.80, 298, 6 2 0
59.42, 96, 4 4 4
64.73, 247, 6 4 2
74.75, 185, 6 6 0
84.30, 67, 6 6 4
89.00, 78, 8 4 4

Structure:
Cell lengths 10.777, 10.777, 10.777 Å; angles 90.00, 90.00, 90.00 degrees
Space group Fd-3m (No. 227, origin choice 2)
Symmetry-distinct sites (fractional):
Nd  0.125  0.125  0.125
Hf  0.125  0.125  0.625
O  0.000  0.000  0.000
O  0.026  0.026  0.358

[4]
Starting from the GGA-PBE geometry in the Materials Project, the X-ray powder pattern of Ba4Si20Au3 was calculated for CuKα.
No peak broadening, texture or thermal motion is included.

Principal peaks in the range 2θ = 15–90°, by angle:
2θ/deg, I_rel, (hkl)
16.87, 199, 2 0 0
18.88, 166, 2 1 0
20.70, 487, 2 1 1
29.43, 583, 2 2 2
31.85, 1000, 3 2 1
34.12, 412, 4 0 0
38.29, 182, 4 2 0
49.02, 241, 4 4 0
53.75, 383, 5 3 2
65.22, 183, 6 3 3

Structure:
Cell lengths 10.512, 10.512, 10.512 Å; angles 90.00, 90.00, 90.00 degrees
Space group Pm-3n (No. 223)
Symmetry-distinct sites (fractional):
Ba  0.000  0.000  0.000
Ba  0.000  0.250  0.500
Si  0.000  0.304  0.117
Si  0.184  0.184  0.184
Au  0.000  0.500  0.250

[5]
Starting from the GGA-PBE geometry in the Materials Project, the X-ray powder pattern of Ni3Bi2S2 was calculated for CuKα.
No peak broadening, texture or thermal motion is included.

Principal peaks in the range 2θ = 15–90°, by angle:
2θ/deg, I_rel, (hkl)
21.74, 364, 0 2 0
22.07, 347, 2 0 0
22.66, 340, 2 0 -2
31.16, 1000, 2 2 0
31.61, 655, 2 2 -2
32.55, 303, 4 0 -2
38.28, 709, 0 2 2
39.49, 631, 4 2 -2
44.32, 343, 0 4 0
45.02, 318, 4 0 0

Structure:
Cell lengths 11.006, 8.175, 7.854 Å; angles 90.00, 132.96, 90.00 degrees
Space group C2/m (No. 12)
Symmetry-distinct sites (fractional):
Ni  0.000  0.245  0.000
Ni  0.245  0.000  0.730
Ni  0.250  0.250  0.000
Bi  0.002  0.000  0.752
Bi  0.012  0.500  0.760
S  0.233  0.266  0.708

[6]
Starting from the GGA-PBE geometry in the Materials Project, the X-ray powder pattern of Te2W2SeS was calculated for CuKα.
No peak broadening, texture or thermal motion is included.

Principal peaks in the range 2θ = 15–90°, by angle:
2θ/deg, I_rel, (hkl)
30.39, 491, 1 0 0
32.53, 168, 1 0 5
35.67, 1000, 1 0 8
36.99, 194, 0 0 16
43.14, 553, 0 1 13
44.90, 191, 1 0 14
53.98, 354, 1 1 0
55.35, 139, 1 1 5
66.38, 164, 0 2 8
76.06, 161, 1 1 21

Structure:
Cell lengths 3.3982, 3.3982, 38.8473 Å; angles 90.00, 90.00, 120.00 degrees
Space group P3m1 (No. 156)
Symmetry-distinct sites (fractional):
Te  0.0000  0.0000  0.0000
Te  0.0000  0.0000  0.0970
Te  0.0000  0.0000  0.3758
Te  0.0000  0.0000  0.4727
W  0.0000  0.0000  0.2364
W  0.0000  0.0000  0.8606
W  0.3333  0.6667  0.0485
W  0.3333  0.6667  0.4242
Se  0.3333  0.6667  0.1938
Se  0.3333  0.6667  0.2789
S  0.3333  0.6667  0.8218
S  0.3333  0.6667  0.8994